Diffraction record for SrAlH3. The powder diffractogram is theoretical, not measured: it uses a DFT-relaxed cell (PBE, the Materials Project) and Cu Kα.
No peak broadening, texture or thermal motion is included.

Structure:
a = 4.585 Å, b = 4.585 Å, c = 4.585 Å
α = 90.00°, β = 90.00°, γ = 90.00°
Sites, in units of the cell vectors:
Sr  0.000  0.000  0.000
Al  0.500  0.500  0.500
H  0.000  0.000  0.500
H  0.000  0.500  0.000
H  0.500  0.000  0.000

Most intense lines, 10° ≤ 2θ ≤ 90°, most intense first:
two_theta, intensity
27.51, 1000
48.64, 409
19.36, 345
39.30, 208
77.96, 206
64.23, 178
44.16, 164
56.79, 136
33.86, 95
60.58, 79

=====

Diffraction record for Th2AlH4. The powder diffractogram is theoretical, not measured: it uses a DFT-relaxed cell (PBE, the Materials Project) and Cu Kα.
No peak broadening, texture or thermal motion is included.

Structure:
a = 6.306 Å, b = 6.306 Å, c = 6.306 Å
α = 105.47°, β = 105.47°, γ = 117.80°
Sites, in units of the cell vectors:
Th  0.164  0.664  0.829
Th  0.336  0.164  0.500
Th  0.664  0.836  0.500
Th  0.836  0.336  0.171
Al  0.250  0.250  0.000
Al  0.750  0.750  0.000
H  0.019  0.779  0.500
H  0.221  0.721  0.240
H  0.279  0.519  0.500
H  0.481  0.981  0.760
H  0.519  0.019  0.240
H  0.721  0.481  0.500
H  0.779  0.279  0.760
H  0.981  0.221  0.500

Most intense lines, 10° ≤ 2θ ≤ 90°, most intense first:
two_theta, intensity
29.53, 1000
49.76, 253
27.38, 234
51.28, 206
37.24, 163
58.60, 150
36.25, 150
23.30, 136
67.61, 110
46.83, 105

=====

Diffraction record for Hf3Al. The powder diffractogram is theoretical, not measured: it uses a DFT-relaxed cell (PBE, the Materials Project) and Cu Kα.
No peak broadening, texture or thermal motion is included.

Structure:
a = 6.155 Å, b = 6.155 Å, c = 5.008 Å
α = 90.00°, β = 90.00°, γ = 120.00°
Sites, in units of the cell vectors:
Hf  0.170  0.339  0.250
Hf  0.170  0.830  0.250
Hf  0.339  0.170  0.750
Hf  0.661  0.830  0.250
Hf  0.830  0.170  0.750
Hf  0.830  0.661  0.750
Al  0.333  0.667  0.750
Al  0.667  0.333  0.250

Most intense lines, 10° ≤ 2θ ≤ 90°, most intense first:
two_theta, intensity
38.26, 1000
35.87, 266
24.39, 253
33.63, 236
72.04, 210
66.05, 204
60.14, 179
49.98, 156
73.55, 148
29.02, 98

=====

Diffraction record for Hf4Al3. The powder diffractogram is theoretical, not measured: it uses a DFT-relaxed cell (PBE, the Materials Project) and Cu Kα.
No peak broadening, texture or thermal motion is included.

Structure:
a = 5.359 Å, b = 5.359 Å, c = 5.417 Å
α = 90.00°, β = 90.00°, γ = 120.00°
Sites, in units of the cell vectors:
Hf  0.000  0.000  0.241
Hf  0.000  0.000  0.759
Hf  0.333  0.667  0.000
Hf  0.667  0.333  0.000
Al  0.000  0.500  0.500
Al  0.500  0.000  0.500
Al  0.500  0.500  0.500

Most intense lines, 10° ≤ 2θ ≤ 90°, most intense first:
two_theta, intensity
33.44, 1000
38.48, 914
37.44, 512
63.14, 433
16.36, 330
51.88, 255
83.07, 204
59.77, 192
19.12, 188
79.25, 168

=====

Diffraction record for HfAl3. The powder diffractogram is theoretical, not measured: it uses a DFT-relaxed cell (PBE, the Materials Project) and Cu Kα.
No peak broadening, texture or thermal motion is included.

Structure:
a = 5.260 Å, b = 5.260 Å, c = 5.260 Å
α = 135.90°, β = 135.90°, γ = 64.13°
Sites, in units of the cell vectors:
Hf  0.000  0.000  0.000
Al  0.250  0.750  0.500
Al  0.500  0.500  0.000
Al  0.750  0.250  0.500

Most intense lines, 10° ≤ 2θ ≤ 90°, most intense first:
two_theta, intensity
24.65, 1000
38.02, 984
19.92, 412
37.89, 334
45.96, 287
79.73, 270
52.84, 261
32.05, 260
62.88, 226
40.47, 206

=====

Diffraction record for Hf3Al2. The powder diffractogram is theoretical, not measured: it uses a DFT-relaxed cell (PBE, the Materials Project) and Cu Kα.
No peak broadening, texture or thermal motion is included.

Structure:
a = 7.588 Å, b = 7.588 Å, c = 6.876 Å
α = 90.00°, β = 90.00°, γ = 90.00°
Sites, in units of the cell vectors:
Hf  0.000  0.500  0.250
Hf  0.000  0.500  0.750
Hf  0.155  0.155  0.000
Hf  0.202  0.202  0.500
Hf  0.298  0.702  0.000
Hf  0.345  0.655  0.500
Hf  0.500  0.000  0.250
Hf  0.500  0.000  0.750
Hf  0.655  0.345  0.500
Hf  0.702  0.298  0.000
Hf  0.798  0.798  0.500
Hf  0.845  0.845  0.000
Al  0.121  0.879  0.290
Al  0.121  0.879  0.710
Al  0.379  0.379  0.210
Al  0.379  0.379  0.790
Al  0.621  0.621  0.210
Al  0.621  0.621  0.790
Al  0.879  0.121  0.290
Al  0.879  0.121  0.710

Most intense lines, 10° ≤ 2θ ≤ 90°, most intense first:
two_theta, intensity
35.23, 1000
37.23, 790
37.48, 644
26.26, 521
30.89, 461
33.40, 391
58.14, 297
66.97, 222
56.74, 220
39.79, 193

=====

Diffraction record for HfAl3. The powder diffractogram is theoretical, not measured: it uses a DFT-relaxed cell (PBE, the Materials Project) and Cu Kα.
No peak broadening, texture or thermal motion is included.

Structure:
a = 4.094 Å, b = 4.094 Å, c = 4.094 Å
α = 90.00°, β = 90.00°, γ = 90.00°
Sites, in units of the cell vectors:
Hf  0.000  0.000  0.000
Al  0.000  0.500  0.500
Al  0.500  0.000  0.500
Al  0.500  0.500  0.000

Most intense lines, 10° ≤ 2θ ≤ 90°, most intense first:
two_theta, intensity
21.71, 1000
38.07, 967
30.89, 846
44.25, 473
49.81, 460
77.31, 368
54.94, 345
64.37, 311
68.80, 220
89.60, 186

=====

Diffraction record for Hf5Al3. The powder diffractogram is theoretical, not measured: it uses a DFT-relaxed cell (PBE, the Materials Project) and Cu Kα.
No peak broadening, texture or thermal motion is included.

Structure:
a = 8.113 Å, b = 8.113 Å, c = 5.709 Å
α = 90.00°, β = 90.00°, γ = 120.00°
Sites, in units of the cell vectors:
Hf  0.000  0.238  0.250
Hf  0.000  0.762  0.750
Hf  0.238  0.000  0.250
Hf  0.238  0.238  0.750
Hf  0.333  0.667  0.000
Hf  0.333  0.667  0.500
Hf  0.667  0.333  0.000
Hf  0.667  0.333  0.500
Hf  0.762  0.000  0.750
Hf  0.762  0.762  0.250
Al  0.000  0.397  0.750
Al  0.000  0.603  0.250
Al  0.397  0.000  0.750
Al  0.397  0.397  0.250
Al  0.603  0.000  0.250
Al  0.603  0.603  0.750

Most intense lines, 10° ≤ 2θ ≤ 90°, most intense first:
two_theta, intensity
37.35, 1000
38.57, 782
33.75, 571
33.90, 512
26.96, 486
25.35, 378
38.44, 337
62.04, 309
55.59, 280
59.79, 257

=====

Diffraction record for HfAl3. The powder diffractogram is theoretical, not measured: it uses a DFT-relaxed cell (PBE, the Materials Project) and Cu Kα.
No peak broadening, texture or thermal motion is included.

Structure:
a = 9.061 Å, b = 9.061 Å, c = 9.061 Å
α = 154.50°, β = 154.50°, γ = 36.37°
Sites, in units of the cell vectors:
Hf  0.120  0.120  0.000
Hf  0.880  0.880  0.000
Al  0.000  0.500  0.500
Al  0.250  0.750  0.500
Al  0.374  0.374  0.000
Al  0.500  0.000  0.500
Al  0.626  0.626  0.000
Al  0.750  0.250  0.500

Most intense lines, 10° ≤ 2θ ≤ 90°, most intense first:
two_theta, intensity
38.08, 1000
22.83, 670
20.64, 385
34.37, 312
27.18, 312
45.36, 308
31.64, 278
78.90, 241
63.51, 215
41.98, 183

=====

Diffraction record for Ho4HfAl15. The powder diffractogram is theoretical, not measured: it uses a DFT-relaxed cell (PBE, the Materials Project) and Cu Kα.
No peak broadening, texture or thermal motion is included.

Structure:
a = 4.217 Å, b = 4.217 Å, c = 21.098 Å
α = 90.00°, β = 90.00°, γ = 90.00°
Sites, in units of the cell vectors:
Ho  0.000  0.000  0.101
Ho  0.000  0.000  0.303
Ho  0.000  0.000  0.697
Ho  0.000  0.000  0.899
Hf  0.000  0.000  0.500
Al  0.000  0.500  0.000
Al  0.000  0.500  0.202
Al  0.000  0.500  0.405
Al  0.000  0.500  0.595
Al  0.000  0.500  0.798
Al  0.500  0.000  0.000
Al  0.500  0.000  0.202
Al  0.500  0.000  0.405
Al  0.500  0.000  0.595
Al  0.500  0.000  0.798
Al  0.500  0.500  0.101
Al  0.500  0.500  0.302
Al  0.500  0.500  0.500
Al  0.500  0.500  0.698
Al  0.500  0.500  0.899

Most intense lines, 10° ≤ 2θ ≤ 90°, most intense first:
two_theta, intensity
36.91, 1000
21.06, 965
29.96, 818
42.88, 490
48.25, 447
74.63, 376
53.19, 336
62.26, 322
66.51, 214
86.30, 173

=====

Diffraction record for HfAlIr. The powder diffractogram is theoretical, not measured: it uses a DFT-relaxed cell (PBE, the Materials Project) and Cu Kα.
No peak broadening, texture or thermal motion is included.

Structure:
a = 8.222 Å, b = 5.323 Å, c = 5.323 Å
α = 60.47°, β = 90.00°, γ = 90.00°
Sites, in units of the cell vectors:
Hf  0.179  0.000  0.000
Hf  0.290  0.336  0.336
Hf  0.710  0.336  0.336
Hf  0.821  0.000  0.000
Al  0.246  0.677  0.677
Al  0.500  0.327  0.844
Al  0.500  0.844  0.327
Al  0.754  0.677  0.677
Ir  0.000  0.008  0.502
Ir  0.000  0.502  0.008
Ir  0.000  0.504  0.504
Ir  0.500  0.842  0.842

Most intense lines, 10° ≤ 2θ ≤ 90°, most intense first:
two_theta, intensity
40.42, 1000
38.17, 593
10.76, 487
29.06, 263
40.75, 245
70.21, 239
38.89, 186
70.81, 163
19.30, 154
64.47, 133

=====

Diffraction record for Hf6Al16Ir7. The powder diffractogram is theoretical, not measured: it uses a DFT-relaxed cell (PBE, the Materials Project) and Cu Kα.
No peak broadening, texture or thermal motion is included.

Structure:
a = 8.715 Å, b = 8.715 Å, c = 8.715 Å
α = 60.00°, β = 60.00°, γ = 60.00°
Sites, in units of the cell vectors:
Hf  0.186  0.186  0.814
Hf  0.186  0.814  0.186
Hf  0.186  0.814  0.814
Hf  0.814  0.186  0.186
Hf  0.814  0.186  0.814
Hf  0.814  0.814  0.186
Al  0.141  0.620  0.620
Al  0.162  0.162  0.162
Al  0.162  0.162  0.513
Al  0.162  0.513  0.162
Al  0.380  0.380  0.380
Al  0.380  0.380  0.859
Al  0.380  0.859  0.380
Al  0.487  0.838  0.838
Al  0.513  0.162  0.162
Al  0.620  0.141  0.620
Al  0.620  0.620  0.141
Al  0.620  0.620  0.620
Al  0.838  0.487  0.838
Al  0.838  0.838  0.487
Al  0.838  0.838  0.838
Al  0.859  0.380  0.380
Ir  0.000  0.000  0.500
Ir  0.000  0.500  0.000
Ir  0.000  0.500  0.500
Ir  0.500  0.000  0.000
Ir  0.500  0.000  0.500
Ir  0.500  0.500  0.000
Ir  0.500  0.500  0.500

Most intense lines, 10° ≤ 2θ ≤ 90°, most intense first:
two_theta, intensity
41.45, 1000
28.98, 961
37.94, 590
31.65, 480
49.03, 432
35.69, 415
66.09, 313
81.09, 222
64.12, 222
25.03, 215